Entry 1:
The following is a theoretical X-ray powder pattern of LaPr4Sm2Dy2. It was derived from a structure optimized by DFT (GGA-PBE), using copper Kα.

Structure:
Unit cell a=15.542 b=5.185 c=8.179 alpha=90.00 beta=108.38 gamma=90.00
Space group C2/m (No. 12)
One atom of each set of equivalent atoms:
La 0.000 0.000 0.000 (multiplicity 2)
Pr 0.055 0.500 0.332 (multiplicity 4)
Pr 0.223 0.000 0.330 (multiplicity 4)
Sm 0.112 0.000 0.667 (multiplicity 4)
Dy 0.169 0.500 0.998 (multiplicity 4)

Most intense lines, 2θ from 15° to 90°, in order of rising 2θ:
(hkl)	2theta	I (rel.)
3 1 1	29.88	100
0 2 0	34.63	51
6 0 2	49.79	36
3 3 1	59.14	36
3 1 -5	59.23	7
6 2 2	62.07	12
0 4 0	73.03	4
9 1 3	80.87	15
0 4 3	83.40	10
6 0 5	83.51	5


Entry 2:
The following is a theoretical X-ray powder pattern of RbBeAl2Sb. It was derived from a structure optimized by DFT (GGA-PBE), using copper Kα.

Structure:
Unit cell a=4.891 b=4.891 c=5.248 alpha=90.00 beta=90.00 gamma=90.00
Space group P4/mmm (No. 123)
One atom of each set of equivalent atoms:
Rb 0.000 0.000 0.000 (multiplicity 1)
Be 0.500 0.500 0.500 (multiplicity 1)
Al 0.000 0.500 0.500 (multiplicity 2)
Sb 0.500 0.500 0.000 (multiplicity 1)

Most intense lines, 2θ from 15° to 90°, in order of rising 2θ:
(hkl)	2theta	I (rel.)
0 0 1	16.90	34
1 1 0	25.76	31
1 1 1	30.97	100
0 0 2	34.17	21
2 0 0	36.75	34
2 0 1	40.70	16
1 1 2	43.28	15
2 0 2	51.05	26
1 1 3	59.19	15
3 1 1	62.61	26


Entry 3:
The following is a theoretical X-ray powder pattern of Ho3Mg2Rh3. It was derived from a structure optimized by DFT (GGA-PBE), using copper Kα.

Structure:
Unit cell a=8.1602 b=8.1602 c=5.7518 alpha=90.00 beta=90.00 gamma=120.00
Space group P6_3/mcm (No. 193)
One atom of each set of equivalent atoms:
Ho 0.0000 0.2702 0.2500 (multiplicity 6)
Mg 0.3333 0.6667 0.0000 (multiplicity 4)
Rh 0.0000 0.3890 0.7500 (multiplicity 6)

Most intense lines, 2θ from 15° to 90°, in order of rising 2θ:
(hkl)	2theta	I (rel.)
1 1 0	21.78	52
0 0 2	31.10	48
2 1 0	33.58	13
2 1 1	37.11	100
3 0 0	38.25	88
3 1 1	49.11	20
3 0 2	50.05	26
3 2 1	59.21	19
2 1 3	59.33	25
5 1 1	76.92	16


Entry 4:
The following is a theoretical X-ray powder pattern of Pm12Ni6Os. It was derived from a structure optimized by DFT (GGA-PBE), using copper Kα.

Structure:
Unit cell a=12.3691 b=12.3691 c=12.0236 alpha=90.00 beta=90.00 gamma=120.00
Space group R-3 (No. 148, hexagonal axes)
One atom of each set of equivalent atoms:
Pm 0.0192 0.2078 0.3904 (multiplicity 18)
Pm 0.0284 0.2006 0.8777 (multiplicity 18)
Ni 0.0350 0.2577 0.6445 (multiplicity 18)
Os 0.0000 0.0000 0.0000 (multiplicity 3)

Most intense lines, 2θ from 15° to 90°, in order of rising 2θ:
(hkl)	2theta	I (rel.)
2 1 1	23.18	36
3 -2 2	26.54	100
2 2 0	28.87	19
1 0 4	30.90	33
3 1 2	33.64	62
2 1 4	37.26	76
1 4 0	38.51	82
0 5 4	52.43	23
7 -4 2	54.28	23
4 -2 6	54.61	39


Entry 5:
The following is a theoretical X-ray powder pattern of HfZnF. It was derived from a structure optimized by DFT (GGA-PBE), using copper Kα.

Structure:
Unit cell a=13.622 b=3.002 c=5.197 alpha=90.00 beta=90.00 gamma=90.00
Space group Amm2 (No. 38)
One atom of each set of equivalent atoms:
Hf 0.175 0.000 0.000 (multiplicity 4)
Zn 0.000 0.000 0.667 (multiplicity 2)
Zn 0.500 0.000 0.668 (multiplicity 2)
F 0.284 0.000 0.667 (multiplicity 4)

Most intense lines, 2θ from 15° to 90°, in order of rising 2θ:
(hkl)	2theta	I (rel.)
3 0 0	19.55	82
0 1 1	34.51	54
1 0 2	35.15	30
2 0 2	37.02	73
6 0 0	39.70	29
3 1 1	39.97	100
4 0 2	43.82	34
5 0 2	48.40	32
0 2 0	61.83	29
8 0 2	65.53	45